Record 1
This entry pairs a crystal structure of SrBe5As4 with its computed powder XRD pattern. Radiation: CuKα. Structure: a PBE-relaxed structure.
Kinematic intensities with the Lorentz-polarization factor, no thermal factor.

Most intense lines, 10 to 90 degrees two-theta, sorted by position:
d_spacing, intensity
5.096, 233
3.604, 384
2.548, 481
2.502, 1000
2.055, 206
1.462, 314

Structure:
Cell: 10.1926 10.1926 3.4771 Å, 90.00 90.00 90.00°
Fractional positions:
Sr1 0.2500 0.7500 0.0000
Sr2 0.7500 0.2500 0.0000
Be1 0.1432 0.1432 0.0076
Be2 0.1432 0.3568 0.0076
Be3 0.2500 0.2500 0.5091
Be4 0.3568 0.1432 0.0076
Be5 0.3568 0.3568 0.0076
Be6 0.6432 0.6432 0.9924
Be7 0.6432 0.8568 0.9924
Be8 0.7500 0.7500 0.4909
Be9 0.8568 0.6432 0.9924
Be10 0.8568 0.8568 0.9924
As1 0.0162 0.2500 0.5057
As2 0.2500 0.0162 0.5057
As3 0.2500 0.4838 0.5057
As4 0.4838 0.2500 0.5057
As5 0.5162 0.7500 0.4943
As6 0.7500 0.5162 0.4943
As7 0.7500 0.9838 0.4943
As8 0.9838 0.7500 0.4943

---

Record 2
This entry pairs a crystal structure of Ce4PaN4 with its computed powder XRD pattern. Radiation: CuKα. Structure: a PBE-relaxed structure.
Kinematic intensities with the Lorentz-polarization factor, no thermal factor.

Most intense lines, 10 to 90 degrees two-theta, sorted by position:
d_spacing, intensity
2.886, 1000
2.503, 451
2.491, 221
1.766, 386
1.511, 149
1.507, 151

Structure:
Cell: 6.1361 6.1361 8.6678 Å, 118.45 118.45 33.46°
Fractional positions:
Ce1 0.1052 0.1052 0.4019
Ce2 0.3004 0.3004 0.1977
Ce3 0.6996 0.6996 0.8023
Ce4 0.8948 0.8948 0.5981
Pa1 0.5000 0.5000 0.0000
N1 0.0934 0.0934 0.9087
N2 0.3086 0.3086 0.7100
N3 0.6914 0.6914 0.2900
N4 0.9066 0.9066 0.0913

---

Record 3
This entry pairs a crystal structure of CeTm5Bi6 with its computed powder XRD pattern. Radiation: CuKα. Structure: a PBE-relaxed structure.
Kinematic intensities with the Lorentz-polarization factor, no thermal factor.

Most intense lines, 10 to 90 degrees two-theta, sorted by position:
d_spacing, intensity
3.156, 1000
2.231, 780
1.822, 283
1.578, 134
1.411, 370
1.288, 275

Structure:
Cell: 7.7298 7.7298 7.7334 Å, 99.60 99.60 120.04°
Fractional positions:
Ce1 0.0000 0.0000 0.0000
Tm1 0.1638 0.8362 0.5000
Tm2 0.3325 0.6675 0.0000
Tm3 0.5000 0.5000 0.5000
Tm4 0.6675 0.3325 0.0000
Tm5 0.8362 0.1638 0.5000
Bi1 0.0850 0.4236 0.2544
Bi2 0.2554 0.2554 0.7490
Bi3 0.4236 0.0850 0.2544
Bi4 0.5764 0.9150 0.7456
Bi5 0.7446 0.7446 0.2510
Bi6 0.9150 0.5764 0.7456

---

Record 4
This entry pairs a crystal structure of Pm2SmDy2Tm with its computed powder XRD pattern. Radiation: CuKα. Structure: a PBE-relaxed structure.
Kinematic intensities with the Lorentz-polarization factor, no thermal factor.

Most intense lines, 10 to 90 degrees two-theta, sorted by position:
d_spacing, intensity
3.099, 1000
2.995, 773
2.946, 762
2.855, 423
2.660, 681
2.198, 722

Structure:
Cell: 6.6034 17.9676 3.3836 Å, 90.00 90.00 90.00°
Fractional positions:
Pm1 0.2318 0.1849 0.0000
Pm2 0.2682 0.6849 0.5000
Pm3 0.7318 0.3151 0.5000
Pm4 0.7682 0.8151 0.0000
Sm1 0.0000 0.5000 0.0000
Sm2 0.5000 0.0000 0.5000
Dy1 0.2301 0.3538 0.5000
Dy2 0.2699 0.8538 0.0000
Dy3 0.7301 0.1462 0.0000
Dy4 0.7699 0.6462 0.5000
Tm1 0.0000 0.0000 0.0000
Tm2 0.5000 0.5000 0.5000

---

Record 5
This entry pairs a crystal structure of Rb5Dy3Br12 with its computed powder XRD pattern. Radiation: CuKα. Structure: a PBE-relaxed structure.
Kinematic intensities with the Lorentz-polarization factor, no thermal factor.

Most intense lines, 10 to 90 degrees two-theta, sorted by position:
d_spacing, intensity
7.097, 924
3.693, 464
3.165, 1000
2.743, 740
2.365, 378
2.279, 655

Structure:
Cell: 14.1933 14.1933 4.3247 Å, 90.00 90.00 120.00°
Fractional positions:
Rb1 0.0000 0.7195 0.0000
Rb2 0.2805 0.2805 0.0000
Rb3 0.3333 0.6667 0.0000
Rb4 0.6667 0.3333 0.0000
Rb5 0.7195 0.0000 0.0000
Dy1 0.0000 0.3306 0.5000
Dy2 0.3306 0.0000 0.5000
Dy3 0.6694 0.6694 0.5000
Br1 0.0000 0.1920 0.0000
Br2 0.0000 0.4666 0.0000
Br3 0.1920 0.0000 0.0000
Br4 0.2115 0.7691 0.5000
Br5 0.2309 0.4423 0.5000
Br6 0.4423 0.2309 0.5000
Br7 0.4666 0.0000 0.0000
Br8 0.5334 0.5334 0.0000
Br9 0.5577 0.7885 0.5000
Br10 0.7691 0.2115 0.5000
Br11 0.7885 0.5577 0.5000
Br12 0.8080 0.8080 0.0000

---

Record 6
This entry pairs a crystal structure of Li4CaHg with its computed powder XRD pattern. Radiation: CuKα. Structure: a PBE-relaxed structure.
Kinematic intensities with the Lorentz-polarization factor, no thermal factor.

Most intense lines, 10 to 90 degrees two-theta, sorted by position:
d_spacing, intensity
6.834, 572
4.601, 1000
3.817, 532
3.254, 431
2.743, 605
2.356, 397

Structure:
Cell: 8.2420 8.2356 6.5072 Å, 66.79 66.69 46.52°
Fractional positions:
Li1 0.0092 0.3139 0.6861
Li2 0.1850 0.4921 0.8150
Li3 0.3139 0.0092 0.9908
Li4 0.4921 0.1850 0.5079
Li5 0.5079 0.8150 0.4921
Li6 0.6861 0.9908 0.0092
Li7 0.8150 0.5079 0.1850
Li8 0.9908 0.6861 0.3139
Ca1 0.0000 0.0000 0.5000
Ca2 0.5000 0.5000 0.0000
Hg1 0.2500 0.2500 0.2500
Hg2 0.7500 0.7500 0.7500